Record 1
# BaGe2Se4
Calculated PXRD pattern, copper Kα. Input: the PBE geometry in Alexandria.

Principal peaks in the range 15 to 90 degrees two-theta, most intense first:
| two_theta | intensity |
| --- | --- |
| 28.12 | 100 |
| 45.25 | 56 |
| 30.80 | 26 |
| 50.03 | 20 |
| 58.03 | 19 |
| 32.33 | 19 |
| 49.65 | 18 |
| 28.33 | 12 |
| 17.74 | 12 |
| 73.68 | 12 |

Structural model:
Lattice parameters (Å, degrees): 6.6064 6.6064 6.6064 103.14 103.14 123.04
Positions (direct):
Ba (0.0000, 0.0000, 0.0000)
Ge (0.2500, 0.7500, 0.5000)
Ge (0.7500, 0.2500, 0.5000)
Se (0.1971, 0.6443, 0.8414)
Se (0.3557, 0.1971, 0.5529)
Se (0.6443, 0.8029, 0.4471)
Se (0.8029, 0.3557, 0.1586)

Record 2
# BaGeSe2
Calculated PXRD pattern, copper Kα. Input: the PBE geometry in Alexandria.

Principal peaks in the range 15 to 90 degrees two-theta, most intense first:
| two_theta | intensity |
| --- | --- |
| 27.32 | 100 |
| 28.73 | 53 |
| 38.83 | 35 |
| 41.25 | 34 |
| 15.69 | 19 |
| 40.97 | 17 |
| 36.97 | 13 |
| 47.48 | 12 |
| 24.77 | 11 |
| 30.05 | 11 |

Structural model:
Lattice parameters (Å, degrees): 7.9180 9.7258 7.3536 90.00 109.39 90.00
Positions (direct):
Ba (0.2499, 0.1112, 0.9996)
Ba (0.2499, 0.3888, 0.4996)
Ba (0.7501, 0.6112, 0.5004)
Ba (0.7501, 0.8888, 0.0004)
Ge (0.2491, 0.6777, 0.9953)
Ge (0.2491, 0.8223, 0.4953)
Ge (0.7509, 0.1777, 0.5047)
Ge (0.7509, 0.3223, 0.0047)
Se (0.0330, 0.6556, 0.2624)
Se (0.0330, 0.8444, 0.7624)
Se (0.4645, 0.6580, 0.7347)
Se (0.4645, 0.8420, 0.2347)
Se (0.5355, 0.1580, 0.7653)
Se (0.5355, 0.3420, 0.2653)
Se (0.9670, 0.1556, 0.2376)
Se (0.9670, 0.3444, 0.7376)

Record 3
# BaSnGe2Se8
Calculated PXRD pattern, copper Kα. Input: the PBE geometry in Alexandria.

Principal peaks in the range 15 to 90 degrees two-theta, most intense first:
| two_theta | intensity |
| --- | --- |
| 29.92 | 100 |
| 34.01 | 92 |
| 47.34 | 69 |
| 50.36 | 58 |
| 24.58 | 55 |
| 27.56 | 42 |
| 28.44 | 34 |
| 34.26 | 28 |
| 37.94 | 23 |
| 58.37 | 22 |

Structural model:
Lattice parameters (Å, degrees): 6.2771 6.2771 9.7096 90.00 90.00 120.00
Positions (direct):
Ba (0.0000, 0.0000, 0.0000)
Sn (0.0000, 0.0000, 0.5000)
Ge (0.3333, 0.6667, 0.7495)
Ge (0.6667, 0.3333, 0.2505)
Se (0.0488, 0.6964, 0.3155)
Se (0.3036, 0.3524, 0.3155)
Se (0.3333, 0.6667, 0.9917)
Se (0.3524, 0.0488, 0.6845)
Se (0.6476, 0.9512, 0.3155)
Se (0.6667, 0.3333, 0.0083)
Se (0.6964, 0.6476, 0.6845)
Se (0.9512, 0.3036, 0.6845)

Record 4
# Ba4Ge2Te5Se3
Calculated PXRD pattern, copper Kα. Input: the PBE geometry in Alexandria.

Principal peaks in the range 15 to 90 degrees two-theta, most intense first:
| two_theta | intensity |
| --- | --- |
| 28.95 | 100 |
| 26.27 | 96 |
| 31.27 | 75 |
| 45.45 | 41 |
| 37.95 | 40 |
| 24.05 | 38 |
| 27.03 | 37 |
| 49.28 | 28 |
| 27.28 | 26 |
| 49.39 | 24 |

Structural model:
Lattice parameters (Å, degrees): 7.4004 7.6640 9.4832 108.09 90.02 90.07
Positions (direct):
Ba (0.0000, 0.0000, 0.0000)
Ba (0.9997, 0.0083, 0.4919)
Ba (0.5184, 0.4611, 0.6046)
Ba (0.5223, 0.4665, 0.1144)
Ge (0.0121, 0.4492, 0.3540)
Ge (0.5102, 0.0163, 0.7501)
Te (0.0061, 0.6289, 0.1602)
Te (0.0068, 0.6251, 0.6366)
Te (0.2434, 0.2476, 0.8114)
Te (0.5054, 0.8485, 0.4645)
Te (0.5094, 0.8361, 0.9437)
Se (0.2622, 0.2428, 0.2992)
Se (0.7595, 0.2415, 0.2998)
Se (0.7628, 0.2204, 0.8044)

Record 5
# Ba2Si2Ge
Calculated PXRD pattern, copper Kα. Input: the PBE geometry in Alexandria.

Principal peaks in the range 15 to 90 degrees two-theta, most intense first:
| two_theta | intensity |
| --- | --- |
| 28.55 | 100 |
| 29.07 | 97 |
| 37.46 | 38 |
| 29.36 | 34 |
| 36.36 | 33 |
| 39.21 | 30 |
| 20.67 | 30 |
| 25.07 | 24 |
| 53.20 | 21 |
| 55.64 | 20 |

Structural model:
Lattice parameters (Å, degrees): 6.6324 6.6324 10.8658 112.09 112.09 42.44
Positions (direct):
Ba (0.1142, 0.1142, 0.4128)
Ba (0.2795, 0.2795, 0.8490)
Ba (0.7205, 0.7205, 0.1510)
Ba (0.8858, 0.8858, 0.5872)
Si (0.0330, 0.0330, 0.9123)
Si (0.4088, 0.4088, 0.3888)
Si (0.5912, 0.5912, 0.6112)
Si (0.9670, 0.9670, 0.0877)
Ge (0.4505, 0.4505, 0.1828)
Ge (0.5495, 0.5495, 0.8172)

Record 6
# Ba2SnGe3
Calculated PXRD pattern, copper Kα. Input: the PBE geometry in Alexandria.

Principal peaks in the range 15 to 90 degrees two-theta, most intense first:
| two_theta | intensity |
| --- | --- |
| 28.33 | 100 |
| 28.91 | 50 |
| 38.86 | 42 |
| 54.42 | 31 |
| 36.56 | 25 |
| 48.05 | 24 |
| 37.52 | 23 |
| 53.39 | 17 |
| 60.87 | 12 |
| 64.67 | 10 |

Structural model:
Lattice parameters (Å, degrees): 9.3395 9.2759 6.8663 68.85 67.86 43.29
Positions (direct):
Ba (0.2500, 0.2500, 0.2500)
Ba (0.2500, 0.7500, 0.2500)
Ba (0.7500, 0.2500, 0.7500)
Ba (0.7500, 0.7500, 0.7500)
Sn (0.1664, 0.1664, 0.8336)
Sn (0.8336, 0.8336, 0.1664)
Ge (0.1796, 0.6579, 0.8204)
Ge (0.3420, 0.3420, 0.6580)
Ge (0.3421, 0.8204, 0.6579)
Ge (0.6579, 0.1796, 0.3421)
Ge (0.6580, 0.6580, 0.3420)
Ge (0.8204, 0.3421, 0.1796)

Record 7
# Ba2Sn5Ge
Calculated PXRD pattern, copper Kα. Input: the PBE geometry in Alexandria.

Principal peaks in the range 15 to 90 degrees two-theta, most intense first:
| two_theta | intensity |
| --- | --- |
| 30.60 | 100 |
| 37.19 | 43 |
| 63.00 | 22 |
| 36.99 | 20 |
| 24.28 | 19 |
| 53.46 | 17 |
| 30.29 | 14 |
| 53.61 | 14 |
| 55.95 | 14 |
| 49.74 | 13 |

Structural model:
Lattice parameters (Å, degrees): 7.4152 7.4152 7.4152 125.09 125.09 81.39
Positions (direct):
Ba (0.0000, 0.5000, 0.5000)
Ba (0.5000, 0.0000, 0.5000)
Sn (0.3912, 0.3912, 0.0000)
Sn (0.5181, 0.5181, 0.5443)
Sn (0.5181, 0.9738, 0.0000)
Sn (0.9738, 0.5181, 0.0000)
Sn (0.9738, 0.9738, 0.4557)
Ge (0.1227, 0.1227, 0.0000)

Record 8
# BaSr2Ge4
Calculated PXRD pattern, copper Kα. Input: the PBE geometry in Alexandria.

Principal peaks in the range 15 to 90 degrees two-theta, most intense first:
| two_theta | intensity |
| --- | --- |
| 29.17 | 100 |
| 29.38 | 48 |
| 36.46 | 34 |
| 38.86 | 32 |
| 33.39 | 30 |
| 54.34 | 24 |
| 42.33 | 22 |
| 39.54 | 20 |
| 52.36 | 19 |
| 57.07 | 18 |

Structural model:
Lattice parameters (Å, degrees): 10.1917 10.1917 10.1917 155.81 152.01 37.32
Positions (direct):
Ba (0.0000, 0.0000, 0.0000)
Sr (0.1822, 0.6822, 0.5000)
Sr (0.8178, 0.3178, 0.5000)
Ge (0.3522, 0.8522, 0.5000)
Ge (0.4300, 0.4300, 0.0000)
Ge (0.5700, 0.5700, 0.0000)
Ge (0.6478, 0.1478, 0.5000)

Record 9
# BaSr2GeTe4
Calculated PXRD pattern, copper Kα. Input: the PBE geometry in Alexandria.

Principal peaks in the range 15 to 90 degrees two-theta, most intense first:
| two_theta | intensity |
| --- | --- |
| 26.69 | 100 |
| 38.10 | 76 |
| 62.14 | 34 |
| 47.13 | 27 |
| 68.86 | 24 |
| 87.64 | 13 |
| 54.98 | 12 |
| 81.51 | 7 |
| 23.06 | 3 |
| 29.13 | 3 |

Structural model:
Lattice parameters (Å, degrees): 9.4483 9.4483 9.4483 120.05 120.00 89.96
Positions (direct):
Ba (0.0000, 0.0000, 0.0000)
Ba (0.5000, 0.0000, 0.5000)
Sr (0.0000, 0.5000, 0.5000)
Sr (0.5000, 0.0000, 0.0000)
Sr (0.5000, 0.5000, 0.0000)
Sr (0.5000, 0.5000, 0.5000)
Ge (0.0000, 0.0000, 0.5000)
Ge (0.0000, 0.5000, 0.0000)
Te (0.2267, 0.7453, 0.4814)
Te (0.2361, 0.2547, 0.9814)
Te (0.2407, 0.2503, 0.5096)
Te (0.2407, 0.7311, 0.9904)
Te (0.7593, 0.2689, 0.0096)
Te (0.7593, 0.7497, 0.4904)
Te (0.7639, 0.7453, 0.0186)
Te (0.7733, 0.2547, 0.5186)

Record 10
# BaTa3Ge
Calculated PXRD pattern, copper Kα. Input: the PBE geometry in Alexandria.

Principal peaks in the range 15 to 90 degrees two-theta, most intense first:
| two_theta | intensity |
| --- | --- |
| 31.03 | 100 |
| 35.98 | 80 |
| 51.80 | 57 |
| 61.63 | 43 |
| 87.37 | 27 |
| 64.69 | 19 |
| 84.63 | 18 |
| 17.77 | 12 |
| 76.31 | 9 |
| 40.41 | 6 |

Structural model:
Lattice parameters (Å, degrees): 4.9916 4.9916 4.9916 90.00 90.00 90.00
Positions (direct):
Ba (0.0000, 0.0000, 0.0000)
Ta (0.0000, 0.5000, 0.5000)
Ta (0.5000, 0.0000, 0.5000)
Ta (0.5000, 0.5000, 0.0000)
Ge (0.5000, 0.5000, 0.5000)

Record 11
# BaTcGe2
Calculated PXRD pattern, copper Kα. Input: the PBE geometry in Alexandria.

Principal peaks in the range 15 to 90 degrees two-theta, most intense first:
| two_theta | intensity |
| --- | --- |
| 25.28 | 100 |
| 51.90 | 37 |
| 39.86 | 29 |
| 31.85 | 27 |
| 52.91 | 26 |
| 42.21 | 25 |
| 23.60 | 20 |
| 34.01 | 19 |
| 16.82 | 15 |
| 63.93 | 14 |

Structural model:
Lattice parameters (Å, degrees): 8.5988 8.5988 8.5988 141.86 141.86 55.04
Positions (direct):
Ba (0.3750, 0.6250, 0.7500)
Ba (0.6250, 0.3750, 0.2500)
Tc (0.1250, 0.8750, 0.2500)
Tc (0.8750, 0.1250, 0.7500)
Ge (0.0000, 0.0000, 0.0000)
Ge (0.0000, 0.0000, 0.5000)
Ge (0.0000, 0.5000, 0.0000)
Ge (0.5000, 0.0000, 0.5000)

Record 12
# BaTc2Ge2
Calculated PXRD pattern, copper Kα. Input: the PBE geometry in Alexandria.

Principal peaks in the range 15 to 90 degrees two-theta, most intense first:
| two_theta | intensity |
| --- | --- |
| 32.74 | 100 |
| 38.28 | 84 |
| 33.84 | 65 |
| 65.76 | 52 |
| 52.00 | 38 |
| 26.81 | 31 |
| 55.25 | 29 |
| 51.32 | 28 |
| 46.61 | 19 |
| 79.30 | 11 |

Structural model:
Lattice parameters (Å, degrees): 5.8466 5.8466 5.8466 132.57 132.57 69.33
Positions (direct):
Ba (0.0000, 0.0000, 0.0000)
Tc (0.3821, 0.3821, 0.0000)
Tc (0.6179, 0.6179, 0.0000)
Ge (0.2500, 0.7500, 0.5000)
Ge (0.7500, 0.2500, 0.5000)